Entry 1:
# Ga2RhC4Cl7O4
Calculated powder X-ray diffraction pattern, CuKα. Input: a GGA-PBE-relaxed structure.
Intensities are scaled so that the largest is 100.

Atomic structure:
Unit cell a=10.0350 b=10.0458 c=10.6104 alpha=76.41 beta=76.83 gamma=65.69
Space group P-1 (No. 2)
Unique sites:
Ga1 0.0670 0.2041 0.0778 x2
Ga2 0.3050 0.6669 0.6758 x2
Rh1 0.0000 0.5000 0.5000 x1
Rh2 0.5000 0.0000 0.0000 x1
C1 0.1391 0.2934 0.5188 x2
C2 0.1435 0.5598 0.3656 x2
C3 0.4713 0.9715 0.1921 x2
C4 0.4922 0.8055 0.0120 x2
Cl1 0.1178 0.9717 0.1562 x2
Cl2 0.1355 0.2433 0.8667 x2
Cl3 0.1404 0.8132 0.5528 x2
Cl4 0.1556 0.3090 0.1788 x2
Cl5 0.1877 0.6705 0.8980 x2
Cl6 0.3848 0.4356 0.6559 x2
Cl7 0.4762 0.7463 0.6760 x2
O1 0.2191 0.1726 0.5319 x2
O2 0.2257 0.5958 0.2862 x2
O3 0.4545 0.9520 0.3041 x2
O4 0.4872 0.6918 0.0219 x2

Peak list (8 most intense, 10 to 90 degrees two-theta, in order of falling intensity)
14.1°, rel. 100, hkl 0 1 -1; 18.2°, rel. 51, hkl 1 2 1; 17.8°, rel. 38, hkl 1 1 2; 21.2°, rel. 34, hkl 1 0 -2; 29.4°, rel. 34, hkl 1 0 -3; 11.9°, rel. 26, hkl 1 1 1; 18.4°, rel. 24, hkl 1 2 0; 22.7°, rel. 22, hkl 2 0 -1

Entry 2:
# Gd4C2Cl3
Calculated powder X-ray diffraction pattern, CuKα. Input: a GGA-PBE-relaxed structure.
Intensities are scaled so that the largest is 100.

Atomic structure:
Unit cell a=10.6945 b=3.7070 c=19.9471 alpha=90.00 beta=90.00 gamma=90.00
Space group Pnma (No. 62)
Unique sites:
Gd1 0.1003 0.2500 0.1684 x4
Gd2 0.1238 0.2500 0.3367 x4
Gd3 0.1380 0.2500 0.7564 x4
Gd4 0.1393 0.2500 0.9277 x4
C1 0.1113 0.7500 0.2508 x4
C2 0.1364 0.7500 0.8487 x4
Cl1 0.1124 0.7500 0.4466 x4
Cl2 0.1200 0.7500 0.0483 x4
Cl3 0.1399 0.7500 0.6448 x4

Peak list (8 most intense, 10 to 90 degrees two-theta, in order of falling intensity)
33.0°, rel. 100, hkl 0 1 5; 29.3°, rel. 68, hkl 2 1 0; 47.7°, rel. 61, hkl 4 1 5; 27.9°, rel. 54, hkl 2 0 5; 33.5°, rel. 52, hkl 4 0 0; 35.7°, rel. 36, hkl 2 0 7; 30.7°, rel. 31, hkl 2 1 2; 12.1°, rel. 25, hkl 1 0 2

Entry 3:
# Gd3CCl3
Calculated powder X-ray diffraction pattern, CuKα. Input: a GGA-PBE-relaxed structure.
Intensities are scaled so that the largest is 100.

Atomic structure:
Unit cell a=10.8382 b=10.8382 c=10.8382 alpha=90.00 beta=90.00 gamma=90.00
Space group I4_132 (No. 214)
Unique sites:
Gd1 0.1073 0.3573 0.1250 x24
C1 0.1250 0.1250 0.1250 x8
Cl1 0.1181 0.1319 0.6250 x24

Peak list (8 most intense, 10 to 90 degrees two-theta, in order of falling intensity)
33.1°, rel. 100, hkl 4 0 0; 11.5°, rel. 69, hkl 1 1 0; 28.5°, rel. 66, hkl 2 2 2; 47.5°, rel. 63, hkl 4 4 0; 30.9°, rel. 50, hkl 3 2 1; 39.0°, rel. 28, hkl 3 3 2; 56.3°, rel. 23, hkl 6 2 2; 63.0°, rel. 22, hkl 7 2 1

Entry 4:
# GeC4NCl3
Calculated powder X-ray diffraction pattern, CuKα. Input: a GGA-PBE-relaxed structure.
Intensities are scaled so that the largest is 100.

Atomic structure:
Unit cell a=15.1475 b=8.1290 c=7.9559 alpha=90.00 beta=90.00 gamma=90.00
Space group Pnma (No. 62)
Unique sites:
Ge1 0.2177 0.2500 0.2464 x4
C1 0.0273 0.2500 0.6932 x4
C2 0.0973 0.1668 0.6215 x8
C3 0.1162 0.7500 0.1489 x4
N1 0.0483 0.7500 0.2257 x4
Cl1 0.0722 0.2500 0.1754 x4
Cl2 0.2044 0.0240 0.4539 x8

Peak list (8 most intense, 10 to 90 degrees two-theta, in order of falling intensity)
19.5°, rel. 100, hkl 2 1 1; 31.5°, rel. 74, hkl 0 2 2; 11.7°, rel. 67, hkl 2 0 0; 16.0°, rel. 60, hkl 2 1 0; 16.2°, rel. 54, hkl 2 0 1; 15.6°, rel. 44, hkl 0 1 1; 37.3°, rel. 30, hkl 6 0 1; 33.7°, rel. 28, hkl 2 2 2

Entry 5:
# GeC4NCl3
Calculated powder X-ray diffraction pattern, CuKα. Input: a GGA-PBE-relaxed structure.
Intensities are scaled so that the largest is 100.

Atomic structure:
Unit cell a=12.0851 b=8.1235 c=8.5001 alpha=90.00 beta=90.00 gamma=90.00
Space group Pna2_1 (No. 33)
Unique sites:
Ge1 0.2251 0.2235 0.0000 x4
C1 0.0233 0.1009 0.4718 x4
C2 0.0321 0.7698 0.8738 x4
C3 0.0557 0.3212 0.4630 x4
C4 0.0806 0.7467 0.0344 x4
N1 0.0294 0.2213 0.6043 x4
Cl1 0.0598 0.3379 0.0036 x4
Cl2 0.2350 0.0625 0.7948 x4
Cl3 0.2362 0.0704 0.2131 x4

Peak list (8 most intense, 10 to 90 degrees two-theta, in order of falling intensity)
21.1°, rel. 100, hkl 2 1 1; 30.4°, rel. 47, hkl 0 2 2; 15.1°, rel. 45, hkl 0 1 1; 29.6°, rel. 29, hkl 4 0 0; 31.3°, rel. 27, hkl 3 2 0; 33.9°, rel. 26, hkl 2 2 2; 14.7°, rel. 25, hkl 2 0 0; 18.0°, rel. 21, hkl 2 0 1

Entry 6:
# GeC4NCl3
Calculated powder X-ray diffraction pattern, CuKα. Input: a GGA-PBE-relaxed structure.
Intensities are scaled so that the largest is 100.

Atomic structure:
Unit cell a=11.4084 b=8.8597 c=8.3335 alpha=90.00 beta=90.00 gamma=90.00
Space group Pnma (No. 62)
Unique sites:
Ge1 0.2294 0.2500 0.2229 x4
C1 0.0085 0.6240 0.2215 x8
C2 0.0114 0.7500 0.1034 x4
C3 0.0625 0.7500 0.3123 x4
N1 0.0806 0.2500 0.7388 x4
Cl1 0.0580 0.2500 0.3436 x4
Cl2 0.2378 0.0482 0.0707 x8

Peak list (8 most intense, 10 to 90 degrees two-theta, in order of falling intensity)
21.4°, rel. 100, hkl 2 1 1; 14.6°, rel. 41, hkl 0 1 1; 29.4°, rel. 40, hkl 0 2 2; 33.4°, rel. 25, hkl 2 2 2; 31.4°, rel. 23, hkl 4 0 0; 20.0°, rel. 21, hkl 0 2 0; 31.9°, rel. 19, hkl 3 0 2; 15.5°, rel. 19, hkl 2 0 0